For CaCu2O4, a crystal structure in the Materials Project, relaxed with GGA-PBE gives the theoretical X-ray powder pattern in this record (λ = 1.5418 Å (Cu Kα)).

a b c (Å): 6.219 6.219 15.043
angles (deg): 90.00 90.00 120.00
Element x y z (fractional)
Ca 0.000 0.000 0.000
Ca 0.000 0.000 0.236
Ca 0.333 0.667 0.282
Ca 0.333 0.667 0.650
Ca 0.333 0.667 0.892
Ca 0.667 0.333 0.557
Cu 0.000 0.000 0.620
Cu 0.001 0.500 0.110
Cu 0.162 0.325 0.449
Cu 0.162 0.838 0.449
Cu 0.335 0.168 0.780
Cu 0.500 0.500 0.110
Cu 0.500 0.999 0.110
Cu 0.667 0.333 0.329
Cu 0.667 0.333 0.946
Cu 0.675 0.838 0.449
Cu 0.832 0.168 0.780
Cu 0.832 0.665 0.780
O 0.000 0.000 0.385
O 0.000 0.000 0.851
O 0.143 0.286 0.707
O 0.143 0.857 0.707
O 0.183 0.367 0.171
O 0.183 0.817 0.171
O 0.272 0.136 0.532
O 0.333 0.667 0.034
O 0.333 0.667 0.502
O 0.396 0.198 0.042
O 0.500 0.001 0.381
O 0.500 0.500 0.381
O 0.529 0.058 0.856
O 0.529 0.471 0.856
O 0.633 0.817 0.171
O 0.667 0.333 0.204
O 0.667 0.333 0.710
O 0.714 0.857 0.707
O 0.802 0.198 0.042
O 0.802 0.604 0.042
O 0.864 0.136 0.532
O 0.864 0.728 0.532
O 0.942 0.471 0.856
O 0.999 0.500 0.381

Main lines, sorted by position (2θ = 15–90°):
index  two_theta  I/Imax
1 0 1  17.49  50.2
0 2 1  33.82  63.4
1 1 3  33.92  100.0
0 1 5  34.14  52.3
0 2 4  41.23  69.7
2 2 0  59.45  53.2

---

For Ca2Cu2O5, a crystal structure in the Materials Project, relaxed with GGA-PBE gives the theoretical X-ray powder pattern in this record (λ = 1.5418 Å (Cu Kα)).

a b c (Å): 10.517 3.598 12.769
angles (deg): 90.00 90.00 90.00
Element x y z (fractional)
Ca 0.048 0.177 0.000
Ca 0.203 0.179 0.333
Ca 0.297 0.679 0.833
Ca 0.452 0.677 0.500
Ca 0.548 0.323 0.000
Ca 0.703 0.321 0.333
Ca 0.797 0.821 0.833
Ca 0.952 0.823 0.500
Cu 0.013 0.361 0.717
Cu 0.239 0.144 0.620
Cu 0.261 0.644 0.120
Cu 0.487 0.861 0.217
Cu 0.513 0.139 0.717
Cu 0.739 0.356 0.620
Cu 0.761 0.856 0.120
Cu 0.987 0.639 0.217
O 0.059 0.679 0.348
O 0.084 0.346 0.582
O 0.124 0.367 0.167
O 0.170 0.168 0.756
O 0.191 0.674 0.989
O 0.309 0.174 0.489
O 0.330 0.668 0.256
O 0.376 0.867 0.667
O 0.416 0.846 0.082
O 0.441 0.179 0.848
O 0.559 0.821 0.348
O 0.584 0.154 0.582
O 0.624 0.133 0.167
O 0.670 0.332 0.756
O 0.691 0.826 0.989
O 0.809 0.326 0.489
O 0.830 0.832 0.256
O 0.876 0.633 0.667
O 0.916 0.654 0.082
O 0.941 0.321 0.848

Main lines, sorted by position (2θ = 15–90°):
index  two_theta  I/Imax
0 1 1  25.73  66.3
2 1 1  30.92  100.0
0 1 3  32.59  42.4
2 0 4  32.82  97.8
4 0 2  36.93  40.3
2 1 7  59.49  52.6

---

For CaCu2O4, a crystal structure in the Materials Project, relaxed with GGA-PBE gives the theoretical X-ray powder pattern in this record (λ = 1.5418 Å (Cu Kα)).

a b c (Å): 3.473 10.300 9.335
angles (deg): 90.00 90.00 90.00
Element x y z (fractional)
Ca 0.099 0.155 0.250
Ca 0.099 0.345 0.750
Ca 0.901 0.655 0.250
Ca 0.901 0.845 0.750
Cu 0.368 0.613 0.569
Cu 0.368 0.613 0.931
Cu 0.368 0.887 0.069
Cu 0.368 0.887 0.431
Cu 0.632 0.113 0.569
Cu 0.632 0.113 0.931
Cu 0.632 0.387 0.069
Cu 0.632 0.387 0.431
O 0.069 0.750 0.000
O 0.069 0.750 0.500
O 0.388 0.542 0.112
O 0.388 0.542 0.388
O 0.388 0.958 0.612
O 0.388 0.958 0.888
O 0.394 0.689 0.750
O 0.394 0.811 0.250
O 0.606 0.189 0.750
O 0.606 0.311 0.250
O 0.612 0.042 0.112
O 0.612 0.042 0.388
O 0.612 0.458 0.612
O 0.612 0.458 0.888
O 0.931 0.250 0.000
O 0.931 0.250 0.500

Main lines, sorted by position (2θ = 15–90°):
index  two_theta  I/Imax
1 0 0  25.65  33.4
1 1 0  27.09  40.5
1 2 1  32.54  53.6
1 1 2  33.31  37.1
0 2 3  33.65  100.0
0 4 0  34.84  36.1

---

For CaCuO2, a crystal structure in the Materials Project, relaxed with GGA-PBE gives the theoretical X-ray powder pattern in this record (λ = 1.5418 Å (Cu Kα)).

a b c (Å): 5.460 11.135 3.203
angles (deg): 90.00 90.00 90.00
Element x y z (fractional)
Ca 0.024 0.137 0.005
Ca 0.476 0.637 0.995
Ca 0.524 0.363 0.995
Ca 0.976 0.863 0.005
Cu 0.015 0.378 0.493
Cu 0.485 0.878 0.507
Cu 0.515 0.122 0.507
Cu 0.985 0.622 0.493
O 0.227 0.754 0.499
O 0.244 0.006 0.516
O 0.256 0.506 0.484
O 0.273 0.254 0.501
O 0.727 0.746 0.501
O 0.744 0.494 0.484
O 0.756 0.994 0.516
O 0.773 0.246 0.499

Main lines, sorted by position (2θ = 15–90°):
index  two_theta  I/Imax
0 0 1  27.86  26.3
0 4 0  32.16  28.3
2 0 0  32.80  25.8
1 1 1  33.42  100.0
1 3 1  40.71  65.1
2 4 0  46.60  60.0